Entry 1:
For Li9Mn2Co5O16, DFT lattice parameters and positions (PBE+U) gives the simulated XRD peak list in this record (Cu Kα).
Intensities are scaled so that the largest is 100.

Top 10 peaks for 5° ≤ 2θ ≤ 70°, in order of falling intensity:
two_theta	I_rel
18.31	100
43.76	54
42.77	28
36.09	26
62.74	15
35.36	15
62.97	14
57.65	9
47.47	9
64.12	7

Structure:
```
Li9Mn2Co5O16
1.0
5.8931 0.0000 0.0000
0.0000 5.8097 0.0000
-0.0382 0.0000 8.4560
Li Mn Co O
9 2 5 16
direct
0.0000 0.0000 0.0000 Li
0.0000 0.0000 0.5000 Li
0.0000 0.5000 0.0000 Li
0.2487 0.2461 0.2590 Li
0.2487 0.7539 0.2590 Li
0.5000 0.0000 0.5000 Li
0.5000 0.5000 0.5000 Li
0.7513 0.2461 0.7410 Li
0.7513 0.7539 0.7410 Li
0.0000 0.5000 0.5000 Mn
0.5000 0.0000 0.0000 Mn
0.2455 0.2455 0.7397 Co
0.2455 0.7545 0.7397 Co
0.5000 0.5000 0.0000 Co
0.7545 0.2455 0.2603 Co
0.7545 0.7545 0.2603 Co
0.0005 0.5000 0.7291 O
0.0271 0.0000 0.7569 O
0.2364 0.2629 0.5059 O
0.2364 0.7371 0.5059 O
0.2727 0.2433 0.0011 O
0.2727 0.7567 0.0011 O
0.4715 0.5000 0.7567 O
0.4940 0.0000 0.7678 O
0.5060 0.0000 0.2322 O
0.5285 0.5000 0.2433 O
0.7273 0.2433 0.9989 O
0.7273 0.7567 0.9989 O
0.7636 0.2629 0.4941 O
0.7636 0.7371 0.4941 O
0.9729 0.0000 0.2431 O
0.9995 0.5000 0.2709 O
```

Entry 2:
For Li3FePCO7, DFT lattice parameters and positions (PBE+U) gives the simulated XRD peak list in this record (Cu Kα).
Intensities are scaled so that the largest is 100.

Top 10 peaks for 5° ≤ 2θ ≤ 70°, in order of falling intensity:
two_theta	I_rel
27.66	100
10.40	81
21.64	60
25.84	36
19.49	35
36.21	35
40.86	26
17.25	25
25.72	20
31.55	17

Structure:
```
Li3FePCO7
1.0
5.0391 0.0000 0.0000
0.0000 6.4501 0.0000
-1.0129 0.0000 8.5068
Li Fe P C O
6 2 2 2 14
direct
0.2026 0.2500 0.1045 Li
0.2706 0.5165 0.7259 Li
0.2706 0.9835 0.7259 Li
0.7294 0.0165 0.2741 Li
0.7294 0.4835 0.2741 Li
0.7974 0.7500 0.8955 Li
0.2114 0.7500 0.3299 Fe
0.7886 0.2500 0.6701 Fe
0.2696 0.2500 0.4112 P
0.7304 0.7500 0.5888 P
0.3314 0.7500 0.0365 C
0.6686 0.2500 0.9635 C
0.0839 0.7500 0.0627 O
0.1609 0.0628 0.3068 O
0.1609 0.4372 0.3068 O
0.1708 0.2500 0.5739 O
0.3992 0.7500 0.8949 O
0.4184 0.7500 0.5694 O
0.4854 0.2500 0.8414 O
0.5146 0.7500 0.1586 O
0.5816 0.2500 0.4306 O
0.6008 0.2500 0.1051 O
0.8292 0.7500 0.4261 O
0.8391 0.5628 0.6932 O
0.8391 0.9372 0.6932 O
0.9161 0.2500 0.9373 O
```

Entry 3:
For CaVO3, DFT lattice parameters and positions (PBE+U) gives the simulated XRD peak list in this record (Cu Kα).
Intensities are scaled so that the largest is 100.

Top 7 peaks for 5° ≤ 2θ ≤ 70°, in order of falling intensity:
two_theta	I_rel
33.07	100
47.47	56
59.07	34
69.40	29
23.22	15
40.80	10
53.49	4

Structure:
```
CaVO3
1.0
3.8304 0.0000 0.0000
0.0000 3.8304 0.0000
0.0000 0.0000 3.8304
Ca V O
1 1 3
direct
0.0000 0.0000 0.0000 Ca
0.5000 0.5000 0.5000 V
0.0000 0.5000 0.5000 O
0.5000 0.0000 0.5000 O
0.5000 0.5000 0.0000 O
```

Entry 4:
For Co2OF3, DFT lattice parameters and positions (PBE+U) gives the simulated XRD peak list in this record (Cu Kα).
Intensities are scaled so that the largest is 100.

Top 10 peaks for 5° ≤ 2θ ≤ 70°, in order of falling intensity:
two_theta	I_rel
34.36	100
26.66	89
26.79	89
52.31	66
52.14	29
39.49	21
66.51	19
58.96	17
54.92	16
55.20	15

Structure:
```
Co2OF3
1.0
4.7162 0.0000 0.0000
0.0304 5.6669 0.0000
0.0181 2.6610 13.0442
Co O F
10 5 15
direct
0.0000 0.0000 0.0000 Co
0.0031 0.7914 0.5972 Co
0.0115 0.5875 0.1999 Co
0.0518 0.1886 0.4138 Co
0.4726 0.8857 0.8136 Co
0.5085 0.4835 0.9997 Co
0.5244 0.6980 0.3904 Co
0.5299 0.3022 0.5999 Co
0.5621 0.0658 0.1940 Co
0.9838 0.3891 0.7888 Co
0.2179 0.1217 0.5364 O
0.3049 0.8179 0.9360 O
0.7102 0.7849 0.2526 O
0.7252 0.1648 0.0560 O
0.8015 0.4704 0.6520 O
0.2028 0.3105 0.9324 F
0.2047 0.7075 0.7372 F
0.2106 0.5039 0.3414 F
0.2197 0.9089 0.1336 F
0.3118 0.2051 0.7396 F
0.3126 0.0182 0.3313 F
0.3192 0.6154 0.5325 F
0.3283 0.3895 0.1444 F
0.6922 0.9657 0.6673 F
0.7027 0.5790 0.8570 F
0.7135 0.3715 0.4561 F
0.8080 0.0677 0.8570 F
0.8177 0.8843 0.4550 F
0.8235 0.6677 0.0564 F
0.8259 0.2658 0.2677 F
```

Entry 5:
For Fe2AsO4F, DFT lattice parameters and positions (PBE+U) gives the simulated XRD peak list in this record (Cu Kα).
Intensities are scaled so that the largest is 100.

Top 10 peaks for 5° ≤ 2θ ≤ 70°, in order of falling intensity:
two_theta	I_rel
28.34	100
29.44	91
27.08	72
25.62	48
30.71	42
34.13	36
56.00	27
63.49	25
31.11	23
41.18	22

Structure:
```
Fe2AsO4F
1.0
6.7588 -3.3554 0.0000
6.7588 3.3554 0.0000
-4.6487 0.0000 9.1260
Fe As O F
8 4 16 4
direct
0.1071 0.8929 0.5000 Fe
0.2038 0.4199 0.2374 Fe
0.3577 0.8262 0.8490 Fe
0.4199 0.2038 0.7374 Fe
0.4912 0.9273 0.3793 Fe
0.8262 0.3577 0.3490 Fe
0.8929 0.1071 0.0000 Fe
0.9273 0.4912 0.8793 Fe
0.3771 0.5757 0.0592 As
0.5757 0.3771 0.5592 As
0.7232 0.9264 0.1722 As
0.9264 0.7232 0.6722 As
0.0821 0.4799 0.7405 O
0.1060 0.7840 0.6625 O
0.1951 0.5123 0.0643 O
0.2241 0.8192 0.9930 O
0.3638 0.5501 0.4374 O
0.4799 0.0821 0.2405 O
0.5123 0.1951 0.5643 O
0.5355 0.6178 0.2319 O
0.5501 0.3638 0.9374 O
0.6178 0.5355 0.7319 O
0.6766 0.7667 0.9993 O
0.7581 0.9340 0.7957 O
0.7667 0.6766 0.4993 O
0.7840 0.1060 0.1625 O
0.8192 0.2241 0.4930 O
0.9340 0.7581 0.2957 O
0.0495 0.1857 0.9094 F
0.1857 0.0495 0.4094 F
0.3061 0.9978 0.6996 F
0.9978 0.3061 0.1996 F
```

Entry 6:
For Ta2CrNO5, DFT lattice parameters and positions (PBE+U) gives the simulated XRD peak list in this record (Cu Kα).
Intensities are scaled so that the largest is 100.

Top 10 peaks for 5° ≤ 2θ ≤ 70°, in order of falling intensity:
two_theta	I_rel
34.61	100
26.47	63
26.67	63
21.03	42
52.17	41
52.40	39
37.93	31
66.39	23
66.56	17
54.51	10

Structure:
```
Ta2CrNO5
1.0
3.3419 -3.3669 0.0000
3.3419 3.3669 0.0000
0.0000 0.0000 9.2828
Ta Cr N O
4 2 2 10
direct
0.0000 0.0000 0.1565 Ta
0.0000 0.0000 0.8435 Ta
0.5000 0.5000 0.3320 Ta
0.5000 0.5000 0.6680 Ta
0.0000 0.0000 0.5000 Cr
0.5000 0.5000 0.0000 Cr
0.1959 0.1959 0.0000 N
0.8041 0.8041 0.0000 N
0.1993 0.1993 0.3357 O
0.1993 0.1993 0.6643 O
0.3044 0.6956 0.1736 O
0.3044 0.6956 0.8264 O
0.3064 0.6936 0.5000 O
0.6936 0.3064 0.5000 O
0.6956 0.3044 0.1736 O
0.6956 0.3044 0.8264 O
0.8007 0.8007 0.3357 O
0.8007 0.8007 0.6643 O
```

Entry 7:
For Ba5V3ClO12, DFT lattice parameters and positions (PBE+U) gives the simulated XRD peak list in this record (Cu Kα).
Intensities are scaled so that the largest is 100.

Top 10 peaks for 5° ≤ 2θ ≤ 70°, in order of falling intensity:
two_theta	I_rel
28.08	100
27.78	100
28.79	58
40.65	42
42.97	33
25.33	26
43.95	24
45.27	23
44.63	22
19.08	16

Structure:
```
Ba5V3ClO12
1.0
10.7437 0.0000 0.0000
-5.3718 9.3043 0.0000
0.0000 0.0000 7.8833
Ba V Cl O
10 6 2 24
direct
0.0089 0.7535 0.2500 Ba
0.2465 0.2555 0.2500 Ba
0.2555 0.0089 0.7500 Ba
0.3333 0.6667 0.9997 Ba
0.3333 0.6667 0.5003 Ba
0.6667 0.3333 0.0003 Ba
0.6667 0.3333 0.4997 Ba
0.7445 0.9911 0.2500 Ba
0.7535 0.7445 0.7500 Ba
0.9911 0.2465 0.7500 Ba
0.0322 0.6278 0.7500 V
0.3722 0.4044 0.7500 V
0.4044 0.0322 0.2500 V
0.5956 0.9678 0.7500 V
0.6278 0.5956 0.2500 V
0.9678 0.3722 0.2500 V
0.0000 0.0000 0.0000 Cl
0.0000 0.0000 0.5000 Cl
0.0925 0.7404 0.5739 O
0.0925 0.7404 0.9261 O
0.1233 0.5302 0.7500 O
0.1547 0.4833 0.2500 O
0.2596 0.3521 0.5739 O
0.2596 0.3521 0.9261 O
0.3286 0.8453 0.2500 O
0.3521 0.0925 0.0739 O
0.3521 0.0925 0.4261 O
0.4069 0.8767 0.7500 O
0.4698 0.5931 0.7500 O
0.4833 0.3286 0.7500 O
0.5167 0.6714 0.2500 O
0.5302 0.4069 0.2500 O
0.5931 0.1233 0.2500 O
0.6479 0.9075 0.5739 O
0.6479 0.9075 0.9261 O
0.6714 0.1547 0.7500 O
0.7404 0.6479 0.0739 O
0.7404 0.6479 0.4261 O
0.8453 0.5167 0.7500 O
0.8767 0.4698 0.2500 O
0.9075 0.2596 0.0739 O
0.9075 0.2596 0.4261 O
```

Repeat the seventh record exactly.
For Ba5V3ClO12, DFT lattice parameters and positions (PBE+U) gives the simulated XRD peak list in this record (Cu Kα).
Intensities are scaled so that the largest is 100.

Top 10 peaks for 5° ≤ 2θ ≤ 70°, in order of falling intensity:
two_theta	I_rel
28.08	100
27.78	100
28.79	58
40.65	42
42.97	33
25.33	26
43.95	24
45.27	23
44.63	22
19.08	16

Structure:
```
Ba5V3ClO12
1.0
10.7437 0.0000 0.0000
-5.3718 9.3043 0.0000
0.0000 0.0000 7.8833
Ba V Cl O
10 6 2 24
direct
0.0089 0.7535 0.2500 Ba
0.2465 0.2555 0.2500 Ba
0.2555 0.0089 0.7500 Ba
0.3333 0.6667 0.9997 Ba
0.3333 0.6667 0.5003 Ba
0.6667 0.3333 0.0003 Ba
0.6667 0.3333 0.4997 Ba
0.7445 0.9911 0.2500 Ba
0.7535 0.7445 0.7500 Ba
0.9911 0.2465 0.7500 Ba
0.0322 0.6278 0.7500 V
0.3722 0.4044 0.7500 V
0.4044 0.0322 0.2500 V
0.5956 0.9678 0.7500 V
0.6278 0.5956 0.2500 V
0.9678 0.3722 0.2500 V
0.0000 0.0000 0.0000 Cl
0.0000 0.0000 0.5000 Cl
0.0925 0.7404 0.5739 O
0.0925 0.7404 0.9261 O
0.1233 0.5302 0.7500 O
0.1547 0.4833 0.2500 O
0.2596 0.3521 0.5739 O
0.2596 0.3521 0.9261 O
0.3286 0.8453 0.2500 O
0.3521 0.0925 0.0739 O
0.3521 0.0925 0.4261 O
0.4069 0.8767 0.7500 O
0.4698 0.5931 0.7500 O
0.4833 0.3286 0.7500 O
0.5167 0.6714 0.2500 O
0.5302 0.4069 0.2500 O
0.5931 0.1233 0.2500 O
0.6479 0.9075 0.5739 O
0.6479 0.9075 0.9261 O
0.6714 0.1547 0.7500 O
0.7404 0.6479 0.0739 O
0.7404 0.6479 0.4261 O
0.8453 0.5167 0.7500 O
0.8767 0.4698 0.2500 O
0.9075 0.2596 0.0739 O
0.9075 0.2596 0.4261 O
```

Repeat the fifth record exactly.
For Fe2AsO4F, DFT lattice parameters and positions (PBE+U) gives the simulated XRD peak list in this record (Cu Kα).
Intensities are scaled so that the largest is 100.

Top 10 peaks for 5° ≤ 2θ ≤ 70°, in order of falling intensity:
two_theta	I_rel
28.34	100
29.44	91
27.08	72
25.62	48
30.71	42
34.13	36
56.00	27
63.49	25
31.11	23
41.18	22

Structure:
```
Fe2AsO4F
1.0
6.7588 -3.3554 0.0000
6.7588 3.3554 0.0000
-4.6487 0.0000 9.1260
Fe As O F
8 4 16 4
direct
0.1071 0.8929 0.5000 Fe
0.2038 0.4199 0.2374 Fe
0.3577 0.8262 0.8490 Fe
0.4199 0.2038 0.7374 Fe
0.4912 0.9273 0.3793 Fe
0.8262 0.3577 0.3490 Fe
0.8929 0.1071 0.0000 Fe
0.9273 0.4912 0.8793 Fe
0.3771 0.5757 0.0592 As
0.5757 0.3771 0.5592 As
0.7232 0.9264 0.1722 As
0.9264 0.7232 0.6722 As
0.0821 0.4799 0.7405 O
0.1060 0.7840 0.6625 O
0.1951 0.5123 0.0643 O
0.2241 0.8192 0.9930 O
0.3638 0.5501 0.4374 O
0.4799 0.0821 0.2405 O
0.5123 0.1951 0.5643 O
0.5355 0.6178 0.2319 O
0.5501 0.3638 0.9374 O
0.6178 0.5355 0.7319 O
0.6766 0.7667 0.9993 O
0.7581 0.9340 0.7957 O
0.7667 0.6766 0.4993 O
0.7840 0.1060 0.1625 O
0.8192 0.2241 0.4930 O
0.9340 0.7581 0.2957 O
0.0495 0.1857 0.9094 F
0.1857 0.0495 0.4094 F
0.3061 0.9978 0.6996 F
0.9978 0.3061 0.1996 F
```